1.
Simulated X-ray powder pattern of Fe2Te3O10 for a wavelength of 1.5418 Å, from a crystal structure in the Materials Project, relaxed with PBE+U.
Neutral-atom scattering factors, no anomalous dispersion.

Principal peaks in the range 10° ≤ 2θ ≤ 90°, by angle:
d 7.899, 2θ 11.20, I = 30
d 5.746, 2θ 15.42, I = 79
d 3.686, 2θ 24.14, I = 55
d 3.631, 2θ 24.52, I = 58
d 3.566, 2θ 24.97, I = 37
d 3.366, 2θ 26.48, I = 31
d 3.175, 2θ 28.10, I = 100
d 2.619, 2θ 34.23, I = 38

Crystal structure
```
Fe2Te3O10
1.0
7.7318 0.0000 0.0000
0.8647 7.9250 0.0000
1.0127 1.0600 7.9136
Fe Te O
4 6 20
Cartesian
0.4042 0.4642 1.5051
4.2992 4.0616 2.4393
5.3100 4.9234 5.4744
9.2051 8.5207 6.4086
2.4025 3.3544 5.1024
3.5235 7.2925 4.1989
3.4105 6.2605 0.1533
6.1987 2.7245 7.7603
6.0858 1.6925 3.7148
7.2067 5.6306 2.8112
1.8387 7.1466 5.0406
1.5368 6.7924 0.0635
2.1049 1.5158 5.6432
1.9013 1.2710 0.9369
2.7531 7.3567 2.3583
3.1537 2.8027 3.4654
3.0902 4.6337 1.0360
3.7141 5.3596 4.0266
4.0027 3.5371 6.0983
4.4540 6.5681 6.2827
5.1553 2.4169 1.6309
5.6065 5.4478 1.8153
5.8952 3.6254 3.8871
6.5190 4.3513 6.8776
6.4555 6.1823 4.4482
6.8562 1.6283 5.5553
7.7079 7.7140 6.9767
7.5044 7.4692 2.2704
8.0725 2.1926 7.8501
7.7706 1.8384 2.8730
```



2.
Simulated X-ray powder pattern of FeTe3O8 for a wavelength of 1.5418 Å, from a crystal structure in the Materials Project, relaxed with PBE+U.
Neutral-atom scattering factors, no anomalous dispersion.

Principal peaks in the range 10° ≤ 2θ ≤ 90°, by angle:
d 4.552, 2θ 19.50, I = 30
d 3.219, 2θ 27.71, I = 100
d 2.980, 2θ 29.98, I = 21
d 2.788, 2θ 32.11, I = 30
d 2.628, 2θ 34.11, I = 19
d 2.187, 2θ 41.28, I = 11
d 1.971, 2θ 46.04, I = 31
d 1.681, 2θ 54.59, I = 25

Crystal structure
```
FeTe3O8
1.0
-5.5754 5.5754 5.5754
5.5754 -5.5754 5.5754
5.5754 5.5754 -5.5754
Fe Te O
4 12 32
Cartesian
2.7877 2.7877 -2.7877
2.7877 -2.7877 2.7877
-2.7877 2.7877 2.7877
2.7877 2.7877 2.7877
2.7877 0.4713 0.0000
5.5754 2.7877 -0.4713
0.4713 0.0000 2.7877
6.0467 0.0000 2.7877
0.0000 2.7877 0.4713
2.7877 -0.4713 5.5754
2.7877 6.0467 0.0000
5.5754 2.7877 5.1041
-0.4713 5.5754 2.7877
5.1041 5.5754 2.7877
0.0000 2.7877 6.0467
2.7877 5.1041 5.5754
4.7124 0.8630 -0.8630
0.8630 4.7124 6.4384
2.0437 1.6244 -1.3178
6.8932 2.0437 -1.6244
1.6244 -1.3178 2.0437
0.8630 0.8630 0.8630
4.2576 3.5317 -1.6244
7.1998 -1.3178 3.5317
3.5317 -1.6244 4.2576
3.5317 1.6244 1.3178
7.1998 1.3178 2.0437
-1.3178 2.0437 1.6244
0.8630 -0.8630 4.7124
1.6244 1.3178 3.5317
1.3178 3.5317 1.6244
2.0437 -1.6244 6.8932
4.7124 -0.8630 6.4384
0.8630 6.4384 -0.8630
3.5317 7.1998 -1.3178
4.2576 2.0437 3.9510
3.9510 4.2576 2.0437
4.7124 6.4384 0.8630
6.8932 3.5317 3.9510
-1.6244 4.2576 3.5317
2.0437 3.9510 4.2576
2.0437 7.1998 1.3178
-1.6244 6.8932 2.0437
1.3178 2.0437 7.1998
4.7124 4.7124 4.7124
3.9510 6.8932 3.5317
-1.3178 3.5317 7.1998
3.5317 3.9510 6.8932
```



3.
Simulated X-ray powder pattern of Fe2TeO6 for a wavelength of 1.5418 Å, from a crystal structure in the Materials Project, relaxed with PBE+U.
Neutral-atom scattering factors, no anomalous dispersion.

Principal peaks in the range 10° ≤ 2θ ≤ 90°, by angle:
d 4.167, 2θ 21.32, I = 24
d 3.303, 2θ 26.99, I = 100
d 2.567, 2θ 34.95, I = 67
d 2.336, 2θ 38.55, I = 16
d 1.728, 2θ 53.01, I = 63
d 1.652, 2θ 55.65, I = 16
d 1.393, 2θ 67.21, I = 13
d 1.389, 2θ 67.43, I = 20

Crystal structure
```
Fe2TeO6
1.0
4.6713 0.0000 0.0000
0.0000 4.6713 0.0000
0.0000 0.0000 9.2170
Fe Te O
4 2 12
Cartesian
0.0000 0.0000 1.5215
0.0000 0.0000 7.6955
2.3357 2.3357 3.0870
2.3357 2.3357 6.1301
0.0000 0.0000 4.6085
2.3357 2.3357 0.0000
0.8964 0.8964 3.1215
0.8964 0.8964 6.0955
0.9452 0.9452 0.0000
1.3905 3.2808 4.6085
1.4393 3.2320 1.4870
1.4393 3.2320 7.7301
3.2320 1.4393 1.4870
3.2320 1.4393 7.7301
3.2808 1.3905 4.6085
3.7261 3.7261 0.0000
3.7749 3.7749 3.1215
3.7749 3.7749 6.0955
```